Diffraction record for Th2MnGe6Rh. The X-ray powder pattern is computed, not measured: it uses a structure optimized by DFT (PBE) and copper Kα.
No peak broadening, texture or thermal motion is included.

Largest 10 diffraction maxima, in order of rising 2θ, 10 to 90 degrees two-theta:
index  two_theta  I (rel.)
2 0 0  27.3  35
1 2 1  27.5  91
0 2 2  32.9  100
2 2 0  34.1  59
2 0 2  38.0  47
2 1 2  39.4  20
0 4 0  40.6  48
1 0 3  41.7  23
2 2 2  43.3  37
2 4 2  56.8  29

Cell and atoms:
```
data_Th2MnGe6Rh
_symmetry_space_group_name_H-M 'P m m n'
_symmetry_Int_Tables_number 59
_cell_length_a 6.532
_cell_length_b 8.892
_cell_length_c 6.884
_cell_angle_alpha 90.00
_cell_angle_beta 90.00
_cell_angle_gamma 90.00
loop_
_symmetry_equiv_pos_as_xyz
'x,y,z'
'-x,-y,-z'
'-x+1/2,-y+1/2,z'
'x+1/2,y+1/2,-z'
'x+1/2,-y,-z'
'-x+1/2,y,z'
'-x,y+1/2,-z'
'x,-y+1/2,z'
loop_
_atom_site_label
_atom_site_type_symbol
_atom_site_fract_x
_atom_site_fract_y
_atom_site_fract_z
Th1 Th 0.250 0.000 0.236
Mn1 Mn 0.250 0.250 0.906
Ge1 Ge 0.058 0.750 0.932
Ge2 Ge 0.060 0.250 0.580
Ge3 Ge 0.250 0.007 0.745
Rh1 Rh 0.250 0.750 0.606
```


Diffraction record for Li4AcCd2. The X-ray powder pattern is computed, not measured: it uses a structure optimized by DFT (PBE) and copper Kα.
No peak broadening, texture or thermal motion is included.

Largest 10 diffraction maxima, in order of rising 2θ, 10 to 90 degrees two-theta:
index  two_theta  I (rel.)
1 0 0  21.8  30
1 0 1  23.6  100
0 0 3  26.6  26
1 0 2  28.2  39
1 1 1  32.4  33
1 0 3  34.7  31
1 1 2  36.0  72
2 0 0  44.5  22
2 1 1  51.0  25
1 1 5  55.8  19

Cell and atoms:
```
data_Li4AcCd2
_symmetry_space_group_name_H-M 'P -4 m 2'
_symmetry_Int_Tables_number 115
_symmetry_space_group_name_Hall 'P -4 -2'
_cell_length_a 4.069
_cell_length_b 4.069
_cell_length_c 10.037
_cell_angle_alpha 90.00
_cell_angle_beta 90.00
_cell_angle_gamma 90.00
loop_
_atom_site_label
_atom_site_type_symbol
_atom_site_fract_x
_atom_site_fract_y
_atom_site_fract_z
Li1 Li 0.000 0.000 0.000
Li2 Li 0.000 0.500 0.215
Li3 Li 0.500 0.500 0.000
Ac1 Ac 0.500 0.500 0.500
Cd1 Cd 0.000 0.500 0.787
```


Diffraction record for RbSbAu2Se4. The X-ray powder pattern is computed, not measured: it uses a structure optimized by DFT (PBE) and copper Kα.
No peak broadening, texture or thermal motion is included.

Largest 10 diffraction maxima, in order of rising 2θ, 10 to 90 degrees two-theta:
index  two_theta  I (rel.)
0 1 1  14.0  91
0 2 0  20.6  35
1 1 2  25.4  100
1 2 1  26.3  37
0 1 3  30.6  39
2 2 0  33.8  67
1 2 3  38.1  38
1 3 2  39.2  30
1 1 4  42.4  42
2 3 3  51.1  29

Cell and atoms:
```
data_RbSbAu2Se4
_symmetry_space_group_name_H-M 'I 2 2 2'
_symmetry_Int_Tables_number 23
_symmetry_space_group_name_Hall 'I 2 2'
_cell_length_a 6.732
_cell_length_b 8.629
_cell_length_c 9.311
_cell_angle_alpha 90.00
_cell_angle_beta 90.00
_cell_angle_gamma 90.00
loop_
_atom_site_label
_atom_site_type_symbol
_atom_site_fract_x
_atom_site_fract_y
_atom_site_fract_z
Rb1 Rb 0.000 0.000 0.000
Sb1 Sb 0.000 0.000 0.500
Au1 Au 0.000 0.500 0.166
Se1 Se 0.210 0.173 0.336
```


Diffraction record for KBi2S4. The X-ray powder pattern is computed, not measured: it uses a structure optimized by DFT (PBE) and copper Kα.
No peak broadening, texture or thermal motion is included.

Largest 10 diffraction maxima, in order of rising 2θ, 10 to 90 degrees two-theta:
index  two_theta  I (rel.)
1 0 1  13.3  100
2 1 1  23.7  67
2 0 2  26.9  53
2 2 0  27.7  47
1 0 3  29.3  40
2 1 3  35.5  22
3 2 1  36.8  38
4 1 1  42.0  20
2 2 4  46.9  29
4 2 2  48.5  27

Cell and atoms:
```
data_KBi2S4
_symmetry_space_group_name_H-M 'I -4 2 d'
_symmetry_Int_Tables_number 122
_symmetry_space_group_name_Hall 'I -4 2bw'
_cell_length_a 9.095
_cell_length_b 9.095
_cell_length_c 9.695
_cell_angle_alpha 90.00
_cell_angle_beta 90.00
_cell_angle_gamma 90.00
loop_
_atom_site_label
_atom_site_type_symbol
_atom_site_fract_x
_atom_site_fract_y
_atom_site_fract_z
K1 K 0.000 0.000 0.000
Bi1 Bi 0.030 0.750 0.625
S1 S 0.047 0.683 0.907
```


Diffraction record for SrNbAs. The X-ray powder pattern is computed, not measured: it uses a structure optimized by DFT (PBE) and copper Kα.
No peak broadening, texture or thermal motion is included.

Largest 10 diffraction maxima, in order of rising 2θ, 10 to 90 degrees two-theta:
index  two_theta  I (rel.)
1 0 3  25.8  28
0 0 6  26.7  15
1 0 5  31.5  39
1 1 2  32.7  31
1 1 4  36.3  100
1 0 7  38.6  24
2 0 0  45.1  41
1 0 9  46.6  16
2 2 0  65.6  13
3 1 4  77.4  21

Cell and atoms:
```
data_SrNbAs
_symmetry_space_group_name_H-M 'I 4/m m m'
_symmetry_Int_Tables_number 139
_symmetry_space_group_name_Hall '-I 4 2'
_cell_length_a 4.025
_cell_length_b 4.025
_cell_length_c 20.035
_cell_angle_alpha 90.00
_cell_angle_beta 90.00
_cell_angle_gamma 90.00
loop_
_atom_site_label
_atom_site_type_symbol
_atom_site_fract_x
_atom_site_fract_y
_atom_site_fract_z
Sr1 Sr 0.000 0.000 0.157
Nb1 Nb 0.000 0.500 0.000
As1 As 0.000 0.000 0.406
```


Diffraction record for Pm4Dy4Tm5. The X-ray powder pattern is computed, not measured: it uses a structure optimized by DFT (PBE) and copper Kα.
No peak broadening, texture or thermal motion is included.

Largest 10 diffraction maxima, in order of rising 2θ, 10 to 90 degrees two-theta:
index  two_theta  I (rel.)
3 2 1  30.8  100
1 5 0  35.7  34
0 0 2  35.8  17
1 5 2  51.4  36
8 1 1  61.1  28
3 2 3  61.3  14
6 4 2  64.2  12
9 6 1  83.8  6
8 1 3  84.0  12
2 10 2  86.5  11

Cell and atoms:
```
data_Pm4Dy4Tm5
_symmetry_space_group_name_H-M 'I 4/m'
_symmetry_Int_Tables_number 87
_symmetry_space_group_name_Hall '-I 4'
_cell_length_a 12.828
_cell_length_b 12.828
_cell_length_c 5.014
_cell_angle_alpha 90.00
_cell_angle_beta 90.00
_cell_angle_gamma 90.00
loop_
_atom_site_label
_atom_site_type_symbol
_atom_site_fract_x
_atom_site_fract_y
_atom_site_fract_z
Pm1 Pm 0.079 0.383 0.000
Dy1 Dy 0.153 0.771 0.000
Tm1 Tm 0.000 0.000 0.000
Tm2 Tm 0.039 0.189 0.500
```